Entry 1:
Starting from DFT lattice parameters and positions (PBE), the XRD peak list of K2NaSbI6 was computed for Cu Kα X-rays.

Top 12 peaks for 2θ from 5° to 70°, low angle first:
| 2θ/deg | Rel. int. |
| --- | --- |
| 12.47 | 14 |
| 14.41 | 54 |
| 25.09 | 96 |
| 29.05 | 100 |
| 32.57 | 30 |
| 41.55 | 74 |
| 44.20 | 16 |
| 49.15 | 44 |
| 51.49 | 26 |
| 60.21 | 12 |
| 66.27 | 18 |
| 68.22 | 33 |

Crystal structure
Lattice parameters (Å, degrees): 8.6940 8.6940 8.6940 60.00 60.00 60.00
Atoms (fractional coordinates):
K  0.2500  0.2500  0.2500
K  0.7500  0.7500  0.7500
Na  0.0000  0.0000  0.0000
Sb  0.5000  0.5000  0.5000
I  0.2544  0.2544  0.7456
I  0.2544  0.7456  0.2544
I  0.2544  0.7456  0.7456
I  0.7456  0.2544  0.2544
I  0.7456  0.2544  0.7456
I  0.7456  0.7456  0.2544


Entry 2:
Starting from DFT lattice parameters and positions (PBE), the XRD peak list of K2NaScI6 was computed for Cu Kα X-rays.

Top 12 peaks for 2θ from 5° to 70°, low angle first:
| 2θ/deg | Rel. int. |
| --- | --- |
| 12.74 | 4 |
| 14.73 | 28 |
| 25.65 | 100 |
| 29.70 | 72 |
| 33.31 | 14 |
| 42.51 | 52 |
| 45.22 | 8 |
| 50.31 | 44 |
| 52.71 | 18 |
| 61.68 | 8 |
| 67.92 | 17 |
| 69.94 | 21 |

Crystal structure
Lattice parameters (Å, degrees): 8.5068 8.5068 8.5068 60.00 60.00 60.00
Atoms (fractional coordinates):
K  0.2500  0.2500  0.2500
K  0.7500  0.7500  0.7500
Na  0.0000  0.0000  0.0000
Sc  0.5000  0.5000  0.5000
I  0.2599  0.2599  0.7401
I  0.2599  0.7401  0.2599
I  0.2599  0.7401  0.7401
I  0.7401  0.2599  0.2599
I  0.7401  0.2599  0.7401
I  0.7401  0.7401  0.2599


Entry 3:
Starting from DFT lattice parameters and positions (PBE), the XRD peak list of K2NaTaI6 was computed for Cu Kα X-rays.

Top 12 peaks for 2θ from 5° to 70°, low angle first:
| 2θ/deg | Rel. int. |
| --- | --- |
| 12.87 | 40 |
| 14.87 | 70 |
| 24.79 | 11 |
| 25.91 | 73 |
| 30.00 | 100 |
| 33.65 | 37 |
| 39.30 | 15 |
| 42.95 | 72 |
| 45.70 | 20 |
| 50.84 | 30 |
| 53.28 | 25 |
| 62.36 | 11 |

Crystal structure
Lattice parameters (Å, degrees): 8.4236 8.4236 8.4236 60.00 60.00 60.00
Atoms (fractional coordinates):
K  0.2500  0.2500  0.2500
K  0.7500  0.7500  0.7500
Na  0.0000  0.0000  0.0000
Ta  0.5000  0.5000  0.5000
I  0.2620  0.2620  0.7380
I  0.2620  0.7380  0.2620
I  0.2620  0.7380  0.7380
I  0.7380  0.2620  0.2620
I  0.7380  0.2620  0.7380
I  0.7380  0.7380  0.2620